This entry pairs a crystal structure of Mg2Si with its simulated XRD peak list. Radiation: Cu Kα, 1.54184 Å. Structure: the GGA-PBE geometry in the Materials Project.

Peak list (12 most intense, 10° ≤ 2θ ≤ 90°, in order of rising 2θ)
Position (°2θ)  I/Imax
32.6  60
33.3  85
34.0  71
34.5  65
35.2  93
35.9  69
36.3  72
37.1  100
38.4  60
38.7  83
39.4  79
42.3  91

Crystal structure
```
data_Mg2Si
_space_group_name_H-M_alt 'P -1'
_space_group_IT_number 2
_space_group_name_Hall '-P 1'
_cell_length_a 5.7467
_cell_length_b 5.8691
_cell_length_c 7.9971
_cell_angle_alpha 100.79
_cell_angle_beta 108.72
_cell_angle_gamma 102.64
loop_
_atom_site_label
_atom_site_type_symbol
_atom_site_fract_x
_atom_site_fract_y
_atom_site_fract_z
Mg1 Mg 0.0343 0.3698 0.1880
Mg2 Mg 0.0751 0.1389 0.7842
Mg3 Mg 0.3971 0.2516 0.5489
Mg4 Mg 0.4517 0.1260 0.1658
Si1 Si 0.1259 0.7094 0.5177
Si2 Si 0.3979 0.6208 0.0742
```

***

This entry pairs a crystal structure of Tb2Re2Si2C with its simulated XRD peak list. Radiation: Cu Kα, 1.54184 Å. Structure: the GGA-PBE geometry in the Materials Project.

Peak list (12 most intense, 10° ≤ 2θ ≤ 90°, in order of rising 2θ)
Position (°2θ)  I/Imax
16.1  28
25.6  26
33.1  44
33.2  96
35.5  100
38.3  24
40.5  29
45.2  30
57.2  19
57.8  16
62.1  17
62.3  17

Crystal structure
```
data_Tb2Re2Si2C
_space_group_name_H-M_alt 'C 1 2/m 1'
_space_group_IT_number 12
_space_group_name_Hall '-C 2y'
_cell_length_a 10.9855
_cell_length_b 4.0081
_cell_length_c 6.9673
_cell_angle_alpha 90.00
_cell_angle_beta 127.66
_cell_angle_gamma 90.00
loop_
_atom_site_label
_atom_site_type_symbol
_atom_site_fract_x
_atom_site_fract_y
_atom_site_fract_z
Tb1 Tb 0.0719 0.0000 0.3002
Re1 Re 0.2067 0.5000 0.0919
Si1 Si 0.1429 0.5000 0.6838
C1 C 0.0000 0.5000 0.0000
```

***

This entry pairs a crystal structure of Sr3Ru2O7 with its simulated XRD peak list. Radiation: Cu Kα, 1.54184 Å. Structure: the GGA-PBE geometry in the Materials Project.

Peak list (12 most intense, 10° ≤ 2θ ≤ 90°, in order of rising 2θ)
Position (°2θ)  I/Imax
17.0  8
31.2  100
32.0  63
43.5  16
45.9  34
55.0  19
56.5  40
65.1  17
66.9  10
75.7  8
76.1  11
83.3  8

Crystal structure
```
data_Sr3Ru2O7
_space_group_name_H-M_alt 'C c c e'
_space_group_IT_number 68
_cell_length_a 5.5924
_cell_length_b 20.8043
_cell_length_c 5.5932
_cell_angle_alpha 90.00
_cell_angle_beta 90.00
_cell_angle_gamma 90.00
loop_
_space_group_symop_operation_xyz
'x,y,z'
'-x,-y,-z'
'-x+1/2,-y,z'
'x+1/2,y,-z'
'x+1/2,-y,-z+1/2'
'-x+1/2,y,z+1/2'
'-x,y,-z+1/2'
'x,-y,z+1/2'
'x+1/2,y+1/2,z'
'-x+1/2,-y+1/2,-z'
'-x,-y+1/2,z'
'x,y+1/2,-z'
'x,-y+1/2,-z+1/2'
'-x,y+1/2,z+1/2'
'-x+1/2,y+1/2,-z+1/2'
'x+1/2,-y+1/2,z+1/2'
loop_
_atom_site_label
_atom_site_type_symbol
_atom_site_fract_x
_atom_site_fract_y
_atom_site_fract_z
Sr1 Sr 0.0000 0.0642 0.2500
Sr2 Sr 0.0000 0.2500 0.2500
Ru1 Ru 0.0000 0.1524 0.7500
O1 O 0.0000 0.0548 0.7500
O2 O 0.0000 0.2500 0.7500
O3 O 0.2132 0.1536 0.0371
```

***

This entry pairs a crystal structure of B2Pt3 with its simulated XRD peak list. Radiation: Cu Kα, 1.54184 Å. Structure: the GGA-PBE geometry in the Materials Project.

Peak list (12 most intense, 10° ≤ 2θ ≤ 90°, in order of rising 2θ)
Position (°2θ)  I/Imax
32.7  76
34.9  100
35.0  19
36.6  56
41.0  59
41.1  61
49.8  27
49.9  25
58.3  51
70.7  34
71.0  17
72.8  15

Crystal structure
```
data_B2Pt3
_space_group_name_H-M_alt 'C 1 m 1'
_space_group_IT_number 8
_space_group_name_Hall 'C -2y'
_cell_length_a 5.4804
_cell_length_b 3.1695
_cell_length_c 7.3680
_cell_angle_alpha 90.00
_cell_angle_beta 90.25
_cell_angle_gamma 90.00
loop_
_atom_site_label
_atom_site_type_symbol
_atom_site_fract_x
_atom_site_fract_y
_atom_site_fract_z
B1 B 0.0000 0.0000 0.0000
B2 B 0.0000 0.0000 0.3876
Pt1 Pt 0.1665 0.5000 0.5460
Pt2 Pt 0.1685 0.5000 0.1841
Pt3 Pt 0.3323 0.0000 0.8590
```

***

This entry pairs a crystal structure of CaMg14Mo with its simulated XRD peak list. Radiation: Cu Kα, 1.54184 Å. Structure: the GGA-PBE geometry in the Materials Project.

Peak list (12 most intense, 10° ≤ 2θ ≤ 90°, in order of rising 2θ)
Position (°2θ)  I/Imax
15.9  12
18.2  16
23.7  7
32.1  26
33.4  5
35.3  25
36.8  100
48.5  16
57.3  17
64.3  17
69.1  18
70.1  13

Crystal structure
```
data_CaMg14Mo
_space_group_name_H-M_alt 'A m m 2'
_space_group_IT_number 38
_space_group_name_Hall 'A 2 -2'
_cell_length_a 10.1758
_cell_length_b 6.4362
_cell_length_c 11.1336
_cell_angle_alpha 90.00
_cell_angle_beta 90.00
_cell_angle_gamma 90.00
loop_
_atom_site_label
_atom_site_type_symbol
_atom_site_fract_x
_atom_site_fract_y
_atom_site_fract_z
Ca1 Ca 0.0000 0.0000 0.0000
Mg1 Mg 0.0000 0.2461 0.2515
Mg2 Mg 0.2374 0.0000 0.6601
Mg3 Mg 0.2482 0.2380 0.4166
Mg4 Mg 0.2594 0.0000 0.1687
Mg5 Mg 0.5000 0.0000 0.4999
Mg6 Mg 0.5000 0.0000 0.9979
Mg7 Mg 0.5000 0.2470 0.7495
Mo1 Mo 0.0000 0.0000 0.4928
```

***

This entry pairs a crystal structure of Rb2LiPrCl6 with its simulated XRD peak list. Radiation: Cu Kα, 1.54184 Å. Structure: the GGA-PBE geometry in the Materials Project.

Peak list (12 most intense, 10° ≤ 2θ ≤ 90°, in order of rising 2θ)
Position (°2θ)  I/Imax
14.3  55
23.5  100
27.7  43
28.9  40
33.5  95
36.6  24
41.4  47
48.1  64
54.3  22
65.3  25
80.3  27
89.9  21

Crystal structure
```
data_Rb2LiPrCl6
_space_group_name_H-M_alt 'F m -3 m'
_space_group_IT_number 225
_space_group_name_Hall '-F 4 2 3'
_cell_length_a 10.6913
_cell_length_b 10.6913
_cell_length_c 10.6913
_cell_angle_alpha 90.00
_cell_angle_beta 90.00
_cell_angle_gamma 90.00
loop_
_atom_site_label
_atom_site_type_symbol
_atom_site_fract_x
_atom_site_fract_y
_atom_site_fract_z
Rb1 Rb 0.2500 0.2500 0.2500
Li1 Li 0.0000 0.0000 0.0000
Pr1 Pr 0.0000 0.0000 0.5000
Cl1 Cl 0.0000 0.0000 0.2431
```

***

This entry pairs a crystal structure of LiCuHSO5 with its simulated XRD peak list. Radiation: Cu Kα, 1.54184 Å. Structure: the GGA-PBE geometry in the Materials Project.

Peak list (12 most intense, 10° ≤ 2θ ≤ 90°, in order of rising 2θ)
Position (°2θ)  I/Imax
11.6  100
19.2  25
21.6  19
25.4  34
26.5  13
28.1  38
29.8  14
32.9  14
37.2  28
37.4  26
40.3  19
54.6  9

Crystal structure
```
data_LiCuHSO5
_space_group_name_H-M_alt 'P 1 21/m 1'
_space_group_IT_number 11
_space_group_name_Hall '-P 2yb'
_cell_length_a 4.4172
_cell_length_b 5.8237
_cell_length_c 7.7907
_cell_angle_alpha 90.00
_cell_angle_beta 100.79
_cell_angle_gamma 90.00
loop_
_atom_site_label
_atom_site_type_symbol
_atom_site_fract_x
_atom_site_fract_y
_atom_site_fract_z
Li1 Li 0.0320 0.2500 0.1519
Cu1 Cu 0.0000 0.0000 0.5000
H1 H 0.4096 0.7500 0.6490
S1 S 0.4465 0.7500 0.2292
O1 O 0.1865 0.7500 0.6427
O2 O 0.2600 0.5402 0.2396
O3 O 0.3117 0.2500 0.5956
O4 O 0.4032 0.2500 0.9214
```